ScAgF2: calculated powder XRD pattern (CuKα), based on a structure optimized by DFT (GGA-PBE).

Crystal structure
a b c (Å): 5.5136 5.5136 11.3146
angles (deg): 90.00 90.00 90.00
Space group I4_1/amd (No. 141, origin choice 2)
One atom of each set of equivalent atoms:
Sc: 0.0000 0.2500 0.3750
Ag: 0.0000 0.2500 0.8750
F: 0.0000 0.0000 0.5000

Most intense lines, 10° ≤ 2θ ≤ 90°, by intensity:
index, 2θ (°), d (Å), I_rel
1 1 2, 27.79, 3.210, 100.0
2 0 0, 32.48, 2.757, 33.0
3 1 2, 55.12, 1.666, 27.9
2 0 4, 45.97, 1.974, 23.8
2 2 4, 57.41, 1.605, 17.6
1 0 3, 28.68, 3.113, 17.1
2 1 1, 37.32, 2.409, 16.6
1 1 6, 54.02, 1.698, 14.3
3 1 6, 74.05, 1.280, 10.6
0 0 4, 31.63, 2.829, 9.8